Diffraction record for KCr2AsO8. The X-ray diffraction stick pattern is simulated, not measured: it uses a DFT-relaxed cell (PBE+U, Alexandria) and CuKα.
Neutral-atom scattering factors, no anomalous dispersion.

Atomic structure:
Cell: 8.9204 5.6368 7.9515 Å, 90.00 93.52 90.00°
Space group C2/m (No. 12)
Inequivalent atoms, fractional coordinates:
K (0.0000, 0.0000, 0.0000) x2
Cr (0.1307, 0.5000, 0.2916) x4
As (0.0000, 0.0000, 0.5000) x2
O (0.0242, 0.2526, 0.3118) x8
O (0.1959, 0.5000, 0.1055) x4
O (0.2286, 0.0000, 0.5584) x4

Top 8 peaks for 15° ≤ 2θ ≤ 90°, sorted by position:
- 2θ = 19.9°, I = 37, (2 0 0)
- 2θ = 21.4°, I = 90, (1 1 -1)
- 2θ = 22.1°, I = 29, (1 1 1)
- 2θ = 23.5°, I = 62, (2 0 1)
- 2θ = 28.8°, I = 100, (1 1 -2)
- 2θ = 29.8°, I = 46, (1 1 2)
- 2θ = 31.7°, I = 43, (0 2 0)
- 2θ = 34.1°, I = 64, (3 1 0)